For BaFe2P4O14, a crystal structure in Alexandria, relaxed with GGA+U gives the calculated X-ray powder pattern in this record (Cu Kα X-rays).
Intensities are scaled so that the largest is 100.

Most intense lines, 10 to 80 degrees two-theta, by angle:
2θ = 11.4°, 7.745 Å, rel. 96.1; 2θ = 16.7°, 5.310 Å, rel. 100.0; 2θ = 20.2°, 4.388 Å, rel. 35.2; 2θ = 20.6°, 4.319 Å, rel. 36.6; 2θ = 21.1°, 4.218 Å, rel. 28.4; 2θ = 24.4°, 3.649 Å, rel. 30.0; 2θ = 28.9°, 3.085 Å, rel. 28.2; 2θ = 29.1°, 3.070 Å, rel. 62.5; 2θ = 29.5°, 3.023 Å, rel. 57.2; 2θ = 29.7°, 3.012 Å, rel. 37.2; 2θ = 30.0°, 2.979 Å, rel. 74.3; 2θ = 30.5°, 2.929 Å, rel. 34.5

Atomic structure:
Unit cell a=6.260 b=6.328 c=8.018 alpha=96.37 beta=101.23 gamma=105.75
Space group P-1 (No. 2)
Unique sites:
Ba (0.000, 0.000, 0.000) (multiplicity 1)
Fe (0.375, 0.690, 0.230) (multiplicity 2)
P (0.186, 0.469, 0.809) (multiplicity 2)
P (0.480, 0.244, 0.335) (multiplicity 2)
O (0.062, 0.672, 0.265) (multiplicity 2)
O (0.219, 0.643, 0.969) (multiplicity 2)
O (0.263, 0.609, 0.663) (multiplicity 2)
O (0.314, 0.360, 0.241) (multiplicity 2)
O (0.331, 0.310, 0.841) (multiplicity 2)
O (0.427, 0.017, 0.220) (multiplicity 2)
O (0.472, 0.235, 0.521) (multiplicity 2)